[1]
Computed powder diffractogram
Compound: MgVSb4O12
Radiation: CuKα
Structure: a structure optimized by DFT (GGA+U)
Lines closer than 0.1° are merged.

```
data_MgVSb4O12
_chemical_formula_sum 'Mg1 V1 Sb4 O12'
_symmetry_space_group_name_H-M 'P 1'
_symmetry_Int_Tables_number 1
_symmetry_space_group_name_Hall 'P 1'
_cell_length_a 5.2482
_cell_length_b 5.7064
_cell_length_c 7.6848
_cell_angle_alpha 94.39
_cell_angle_beta 90.70
_cell_angle_gamma 90.89
loop_
_atom_site_label
_atom_site_type_symbol
_atom_site_fract_x
_atom_site_fract_y
_atom_site_fract_z
Mg1 Mg 0.0000 0.0000 0.0000
V1 V 0.5200 0.7307 0.4308
Sb1 Sb 0.0052 0.5837 0.2189
Sb2 Sb 0.0205 0.5860 0.7210
Sb3 Sb 0.4978 0.1274 0.2282
Sb4 Sb 0.5067 0.1262 0.7340
O1 O 0.1645 0.2672 0.1532
O2 O 0.1677 0.5816 0.4692
O3 O 0.2069 0.9094 0.7903
O4 O 0.3100 0.7977 0.1894
O5 O 0.3211 0.4144 0.7967
O6 O 0.3990 0.0672 0.4810
O7 O 0.6447 0.1159 0.9831
O8 O 0.6812 0.4315 0.3060
O9 O 0.7033 0.7855 0.6491
O10 O 0.7854 0.8817 0.2863
O11 O 0.8254 0.2889 0.6703
O12 O 0.9031 0.6470 0.9730
```

The 6 most intense peaks (15 to 90 degrees two-theta), by intensity:
| 2theta | Rel. int. |
| --- | --- |
| 23.24 | 100 |
| 32.06 | 51 |
| 22.87 | 51 |
| 34.15 | 38 |
| 31.45 | 23 |
| 47.50 | 22 |

---

[2]
Computed powder diffractogram
Compound: MgVSbO4
Radiation: CuKα
Structure: a structure optimized by DFT (GGA+U)
Lines closer than 0.1° are merged.

```
data_MgVSbO4
_chemical_formula_sum 'Mg2 V2 Sb2 O8'
_symmetry_space_group_name_H-M 'A m m 2'
_symmetry_Int_Tables_number 38
_symmetry_space_group_name_Hall 'A 2 -2'
_cell_length_a 3.1540
_cell_length_b 7.0002
_cell_length_c 8.8862
_cell_angle_alpha 90.00
_cell_angle_beta 90.00
_cell_angle_gamma 90.00
loop_
_atom_site_label
_atom_site_type_symbol
_atom_site_fract_x
_atom_site_fract_y
_atom_site_fract_z
Mg1 Mg 0.0000 0.0000 0.0000
V1 V 0.5000 0.0000 0.7317
Sb1 Sb 0.0000 0.0000 0.3377
O1 O 0.0000 0.1732 0.8110
O2 O 0.5000 0.0000 0.1261
O3 O 0.5000 0.0000 0.5167
```

The 6 most intense peaks (15 to 90 degrees two-theta), by intensity:
| 2theta | Rel. int. |
| --- | --- |
| 32.77 | 100 |
| 25.45 | 83 |
| 19.98 | 57 |
| 49.70 | 51 |
| 34.89 | 43 |
| 16.12 | 41 |

---

[3]
Computed powder diffractogram
Compound: MgVSb4O12
Radiation: CuKα
Structure: a structure optimized by DFT (GGA+U)
Lines closer than 0.1° are merged.

```
data_MgVSb4O12
_chemical_formula_sum 'Mg1 V1 Sb4 O12'
_symmetry_space_group_name_H-M 'P 1'
_symmetry_Int_Tables_number 1
_symmetry_space_group_name_Hall 'P 1'
_cell_length_a 5.2649
_cell_length_b 5.5978
_cell_length_c 7.7558
_cell_angle_alpha 94.98
_cell_angle_beta 90.29
_cell_angle_gamma 90.46
loop_
_atom_site_label
_atom_site_type_symbol
_atom_site_fract_x
_atom_site_fract_y
_atom_site_fract_z
Mg1 Mg 0.0000 0.0000 0.0000
V1 V 0.4954 0.6981 0.9043
Sb1 Sb 0.0088 0.5803 0.2147
Sb2 Sb 0.4847 0.1074 0.6844
Sb3 Sb 0.4999 0.1063 0.2200
Sb4 Sb 0.9938 0.5756 0.6823
O1 O 0.1259 0.6094 0.9483
O2 O 0.1561 0.2587 0.6464
O3 O 0.1761 0.9126 0.2361
O4 O 0.3241 0.7646 0.6707
O5 O 0.3312 0.4190 0.2545
O6 O 0.3789 0.0596 0.9526
O7 O 0.6327 0.0897 0.4538
O8 O 0.6724 0.4141 0.7755
O9 O 0.7043 0.7939 0.1208
O10 O 0.7852 0.8812 0.7817
O11 O 0.8150 0.2767 0.1297
O12 O 0.8673 0.6013 0.4483
```

The 6 most intense peaks (15 to 90 degrees two-theta), by intensity:
| 2theta | Rel. int. |
| --- | --- |
| 23.14 | 100 |
| 23.02 | 99 |
| 23.34 | 98 |
| 31.92 | 97 |
| 34.07 | 78 |
| 32.10 | 50 |